Structure and computed PXRD pattern of FeNiP2O8 (the GGA+U geometry in Alexandria; Cu Kα (weighted mean of Kα1 and Kα2)).

Atomic structure:
a b c (Å): 4.8607 5.8226 9.8984
angles (deg): 90.00 90.28 90.00
Space group P2_1/m (No. 11)
Asymmetric unit:
Fe: 0.0575 0.2500 0.2736
Ni: 0.4363 0.2500 0.7772
P: 0.1068 0.7500 0.4033
P: 0.3844 0.7500 0.9093
O: 0.1602 0.7500 0.5566
O: 0.2074 0.2500 0.6159
O: 0.2323 0.5435 0.8372
O: 0.2507 0.5414 0.3329
O: 0.3074 0.2500 0.1184
O: 0.3262 0.7500 0.0609

Top 12 peaks for 10° ≤ 2θ ≤ 80°, in order of rising 2θ:
- (0 0 2), 2θ = 17.92°, 4.949 Å, I = 74
- (1 0 -1), 2θ = 20.35°, 4.364 Å, I = 80
- (0 1 2), 2θ = 23.59°, 3.771 Å, I = 19
- (1 1 -1), 2θ = 25.51°, 3.492 Å, I = 100
- (1 1 -2), 2θ = 29.94°, 2.985 Å, I = 24
- (1 1 2), 2θ = 30.05°, 2.974 Å, I = 18
- (0 2 0), 2θ = 30.71°, 2.911 Å, I = 78
- (1 1 -3), 2θ = 36.28°, 2.476 Å, I = 48
- (1 1 3), 2θ = 36.42°, 2.467 Å, I = 54
- (1 2 -1), 2θ = 37.12°, 2.422 Å, I = 32
- (2 2 -2), 2θ = 52.37°, 1.747 Å, I = 19
- (1 3 3), 2θ = 58.34°, 1.582 Å, I = 24